1.
This entry pairs a crystal structure of TlGeIN2 with its computed powder X-ray diffraction pattern. Radiation: Cu Kα. Structure: a cell relaxed with PBE.
Neutral-atom scattering factors, no anomalous dispersion.

Cell and atoms:
Cell: 4.2642 4.2642 6.0304 Å, 90.00 90.00 90.00°
Space group P4/mmm (No. 123)
Inequivalent atoms, fractional coordinates:
Tl 0.0000 0.0000 0.0000 [1 per cell]
Ge 0.5000 0.5000 0.5000 [1 per cell]
I 0.5000 0.5000 0.0000 [1 per cell]
N 0.0000 0.5000 0.5000 [2 per cell]

Peak list (12 most intense, 2θ = 10–90°, by angle)
d/Å	I/Imax
6.030	53
3.482	28
3.015	100
2.697	49
2.132	76
2.010	18
1.818	14
1.741	31
1.673	11
1.508	15
1.348	35
1.231	26

=====

2.
This entry pairs a crystal structure of ErAuCl6 with its computed powder X-ray diffraction pattern. Radiation: Cu Kα. Structure: a cell relaxed with PBE.
Neutral-atom scattering factors, no anomalous dispersion.

Cell and atoms:
Cell: 5.6863 6.9202 7.3599 Å, 64.76 70.44 87.74°
Space group P-1 (No. 2)
Inequivalent atoms, fractional coordinates:
Er 0.0000 0.0000 0.0000 [1 per cell]
Au 0.5000 0.5000 0.0000 [1 per cell]
Cl 0.0063 0.8037 0.3719 [2 per cell]
Cl 0.3003 0.3770 0.8283 [2 per cell]
Cl 0.4055 0.8439 0.8086 [2 per cell]

Peak list (12 most intense, 2θ = 10–90°, by angle)
d/Å	I/Imax
6.232	100
4.452	51
4.307	45
3.818	30
3.575	43
3.453	35
3.111	20
2.659	15
2.503	19
2.393	17
2.155	16
2.016	16

=====

3.
This entry pairs a crystal structure of Ce4ErIn3 with its computed powder X-ray diffraction pattern. Radiation: Cu Kα. Structure: a cell relaxed with PBE.
Neutral-atom scattering factors, no anomalous dispersion.

Cell and atoms:
Cell: 3.1888 6.2603 22.1564 Å, 90.00 90.00 90.00°
Space group Immm (No. 71)
Inequivalent atoms, fractional coordinates:
Ce 0.0000 0.2165 0.1262 [8 per cell]
Er 0.0000 0.5000 0.0000 [2 per cell]
In 0.0000 0.5000 0.2520 [4 per cell]
In 0.0000 0.5000 0.5000 [2 per cell]

Peak list (12 most intense, 2θ = 10–90°, by angle)
d/Å	I/Imax
3.156	27
2.928	14
2.841	17
2.770	57
2.725	100
2.528	62
2.138	17
1.746	18
1.590	20
1.477	20
1.376	24
1.126	14

=====

4.
This entry pairs a crystal structure of Ge2BiS3 with its computed powder X-ray diffraction pattern. Radiation: Cu Kα. Structure: a cell relaxed with PBE.
Neutral-atom scattering factors, no anomalous dispersion.

Cell and atoms:
Cell: 5.5315 10.8789 4.6087 Å, 90.00 90.00 90.00°
Space group Imm2 (No. 44)
Inequivalent atoms, fractional coordinates:
Ge 0.0000 0.1782 0.0000 [4 per cell]
Bi 0.0000 0.5000 0.0437 [2 per cell]
S 0.0000 0.0000 0.6410 [2 per cell]
S 0.0000 0.3276 0.5813 [4 per cell]

Peak list (12 most intense, 2θ = 10–90°, by angle)
d/Å	I/Imax
4.931	36
4.244	28
3.541	64
3.033	38
2.967	18
2.850	100
2.766	50
2.304	23
1.985	69
1.835	26
1.770	21
1.244	21

=====

5.
This entry pairs a crystal structure of Ac2CeGa3 with its computed powder X-ray diffraction pattern. Radiation: Cu Kα. Structure: a cell relaxed with PBE.
Neutral-atom scattering factors, no anomalous dispersion.

Cell and atoms:
Cell: 7.5554 10.1894 17.2476 Å, 90.00 90.00 90.00°
Space group Fmmm (No. 69)
Inequivalent atoms, fractional coordinates:
Ac 0.2423 0.0000 0.0000 [8 per cell]
Ac 0.2500 0.2500 0.2500 [8 per cell]
Ce 0.0000 0.0000 0.3325 [8 per cell]
Ga 0.0000 0.0000 0.1595 [8 per cell]
Ga 0.0000 0.2443 0.0793 [16 per cell]

Peak list (12 most intense, 2θ = 10–90°, by angle)
d/Å	I/Imax
4.386	24
2.862	100
2.841	48
2.547	30
2.504	57
1.897	30
1.889	12
1.872	15
1.525	15
1.517	12
1.508	39
1.499	14